Structure and computed X-ray diffraction stick pattern of Pu4As3S (a crystal structure in Alexandria, relaxed with GGA-PBE; Cu Kα X-rays).

Structural model:
```
Pu4As3S
1.0
2.049 1.183 13.375
-2.049 1.183 13.375
0.000 -2.366 13.375
Pu As S
4 3 1
direct
0.125 0.125 0.125
0.372 0.372 0.372
0.628 0.628 0.628
0.875 0.875 0.875
0.252 0.252 0.252
0.500 0.500 0.500
0.748 0.748 0.748
0.000 0.000 0.000
```

Peak list (10 most intense, 2θ = 10–90°, sorted by position)
2θ 26.6, I 59
2θ 30.9, I 100
2θ 44.2, I 75
2θ 52.4, I 29
2θ 54.9, I 26
2θ 64.3, I 12
2θ 70.9, I 12
2θ 73.0, I 34
2θ 81.4, I 25
2θ 87.5, I 10